Record 1
The following is a theoretical powder diffractogram of KFe6H12S4O29. It was derived from the GGA+U geometry in the Materials Project, using Cu Kα.

Cell lengths 7.167, 7.416, 10.369 Å; angles 90.00, 92.32, 90.00 degrees
Positions (direct):
1 K 0.000 0.000 0.000
2 Fe 0.000 0.500 0.500
3 Fe 0.251 0.252 0.253
4 Fe 0.251 0.748 0.253
5 Fe 0.500 0.000 0.000
6 Fe 0.749 0.252 0.747
7 Fe 0.749 0.748 0.747
8 H 0.022 0.000 0.301
9 H 0.190 0.219 0.492
10 H 0.190 0.781 0.492
11 H 0.312 0.290 0.012
12 H 0.312 0.710 0.012
13 H 0.482 0.500 0.204
14 H 0.518 0.500 0.796
15 H 0.688 0.290 0.988
16 H 0.688 0.710 0.988
17 H 0.810 0.219 0.508
18 H 0.810 0.781 0.508
19 H 0.978 0.000 0.699
20 S 0.116 0.500 0.808
21 S 0.386 0.000 0.694
22 S 0.614 0.000 0.306
23 S 0.884 0.500 0.192
24 O 0.000 0.335 0.166
25 O 0.000 0.335 0.834
26 O 0.000 0.665 0.166
27 O 0.000 0.665 0.834
28 O 0.145 0.000 0.263
29 O 0.159 0.313 0.428
30 O 0.159 0.687 0.428
31 O 0.171 0.500 0.672
32 O 0.216 0.000 0.609
33 O 0.283 0.500 0.895
34 O 0.332 0.000 0.832
35 O 0.334 0.189 0.073
36 O 0.334 0.811 0.073
37 O 0.354 0.500 0.235
38 O 0.499 0.164 0.668
39 O 0.499 0.836 0.668
40 O 0.500 0.500 0.500
41 O 0.501 0.164 0.332
42 O 0.501 0.836 0.332
43 O 0.646 0.500 0.765
44 O 0.666 0.189 0.927
45 O 0.666 0.811 0.927
46 O 0.668 0.000 0.168
47 O 0.717 0.500 0.105
48 O 0.784 0.000 0.391
49 O 0.829 0.500 0.328
50 O 0.841 0.313 0.572
51 O 0.841 0.687 0.572
52 O 0.855 0.000 0.737

Principal peaks in the range 10° ≤ 2θ ≤ 90°, low angle first:
two_theta	d/Å	I (rel.)
14.71	6.023	29
15.32	5.782	38
17.18	5.161	98
28.27	3.157	100
28.55	3.126	87
28.69	3.111	42
38.90	2.315	29
49.15	1.854	46


Record 2
The following is a theoretical powder diffractogram of P4W3O14. It was derived from the GGA+U geometry in the Materials Project, using Cu Kα.

Cell lengths 7.639, 8.140, 9.753 Å; angles 90.00, 108.89, 90.00 degrees
Positions (direct):
1 P 0.087 0.064 0.205
2 P 0.087 0.436 0.705
3 P 0.374 0.699 0.697
4 P 0.374 0.801 0.197
5 P 0.626 0.199 0.803
6 P 0.626 0.301 0.303
7 P 0.913 0.564 0.295
8 P 0.913 0.936 0.795
9 W 0.305 0.130 0.971
10 W 0.305 0.370 0.471
11 W 0.500 0.000 0.500
12 W 0.500 0.500 0.000
13 W 0.695 0.630 0.529
14 W 0.695 0.870 0.029
15 O 0.110 0.161 0.079
16 O 0.110 0.339 0.579
17 O 0.112 0.519 0.314
18 O 0.112 0.981 0.814
19 O 0.184 0.148 0.351
20 O 0.184 0.352 0.851
21 O 0.190 0.617 0.706
22 O 0.190 0.883 0.206
23 O 0.346 0.637 0.122
24 O 0.346 0.863 0.622
25 O 0.458 0.573 0.612
26 O 0.458 0.927 0.112
27 O 0.499 0.210 0.642
28 O 0.499 0.290 0.142
29 O 0.501 0.710 0.858
30 O 0.501 0.790 0.358
31 O 0.542 0.073 0.888
32 O 0.542 0.427 0.388
33 O 0.654 0.137 0.378
34 O 0.654 0.363 0.878
35 O 0.810 0.117 0.794
36 O 0.810 0.383 0.294
37 O 0.816 0.648 0.149
38 O 0.816 0.852 0.649
39 O 0.888 0.019 0.186
40 O 0.888 0.481 0.686
41 O 0.890 0.661 0.421
42 O 0.890 0.839 0.921

Principal peaks in the range 10° ≤ 2θ ≤ 90°, low angle first:
two_theta	d/Å	I (rel.)
12.25	7.227	92
16.40	5.404	48
19.21	4.621	100
22.11	4.020	33
28.19	3.165	33
28.34	3.149	96
31.35	2.853	37
34.45	2.603	33


Record 3
The following is a theoretical powder diffractogram of LiInMo3O8. It was derived from the GGA+U geometry in the Materials Project, using Cu Kα.

Cell lengths 5.848, 5.848, 5.091 Å; angles 90.00, 90.00, 120.00 degrees
Positions (direct):
1 Li 0.000 0.000 0.000
2 In 0.667 0.333 0.031
3 Mo 0.187 0.373 0.553
4 Mo 0.187 0.813 0.553
5 Mo 0.627 0.813 0.553
6 O 0.000 0.000 0.361
7 O 0.000 0.500 0.316
8 O 0.317 0.159 0.778
9 O 0.333 0.667 0.835
10 O 0.500 0.000 0.316
11 O 0.500 0.500 0.316
12 O 0.841 0.159 0.778
13 O 0.841 0.683 0.778

Principal peaks in the range 10° ≤ 2θ ≤ 90°, low angle first:
two_theta	d/Å	I (rel.)
17.43	5.087	35
24.80	3.590	100
35.43	2.534	79
39.76	2.267	22
50.86	1.795	56
50.97	1.792	29
63.65	1.462	16
85.74	1.133	19


Record 4
The following is a theoretical powder diffractogram of Mg14NbFeO16. It was derived from the GGA+U geometry in the Materials Project, using Cu Kα.

Cell lengths 8.590, 8.590, 4.303 Å; angles 90.00, 90.00, 90.00 degrees
Positions (direct):
1 Mg 0.000 0.244 0.000
2 Mg 0.000 0.500 0.500
3 Mg 0.000 0.756 0.000
4 Mg 0.242 0.500 0.000
5 Mg 0.244 0.000 0.000
6 Mg 0.244 0.244 0.500
7 Mg 0.244 0.756 0.500
8 Mg 0.500 0.000 0.500
9 Mg 0.500 0.242 0.000
10 Mg 0.500 0.758 0.000
11 Mg 0.756 0.000 0.000
12 Mg 0.756 0.244 0.500
13 Mg 0.756 0.756 0.500
14 Mg 0.758 0.500 0.000
15 Nb 0.500 0.500 0.500
16 Fe 0.000 0.000 0.500
17 O 0.000 0.000 0.000
18 O 0.000 0.253 0.500
19 O 0.000 0.500 0.000
20 O 0.000 0.747 0.500
21 O 0.241 0.500 0.500
22 O 0.251 0.251 0.000
23 O 0.251 0.749 0.000
24 O 0.253 0.000 0.500
25 O 0.500 0.000 0.000
26 O 0.500 0.241 0.500
27 O 0.500 0.500 0.000
28 O 0.500 0.759 0.500
29 O 0.747 0.000 0.500
30 O 0.749 0.251 0.000
31 O 0.749 0.749 0.000
32 O 0.759 0.500 0.500

Principal peaks in the range 10° ≤ 2θ ≤ 90°, low angle first:
two_theta	d/Å	I (rel.)
14.58	6.074	15
20.67	4.298	12
25.37	3.511	9
29.39	3.039	10
36.20	2.481	22
42.05	2.149	100
60.98	1.519	57
76.84	1.241	17


Record 5
The following is a theoretical powder diffractogram of Li9Co7O16. It was derived from the GGA+U geometry in the Materials Project, using Cu Kα.

Cell lengths 5.171, 5.171, 19.793 Å; angles 101.73, 101.73, 33.76 degrees
Positions (direct):
1 Li 0.000 0.000 0.000
2 Li 0.248 0.248 0.187
3 Li 0.250 0.250 0.688
4 Li 0.251 0.251 0.438
5 Li 0.252 0.252 0.938
6 Li 0.748 0.748 0.062
7 Li 0.749 0.749 0.562
8 Li 0.750 0.750 0.312
9 Li 0.752 0.752 0.813
10 Co 0.000 0.000 0.249
11 Co 0.000 0.000 0.500
12 Co 0.000 0.000 0.751
13 Co 0.499 0.499 0.375
14 Co 0.499 0.499 0.880
15 Co 0.501 0.501 0.120
16 Co 0.501 0.501 0.625
17 O 0.113 0.113 0.841
18 O 0.114 0.114 0.096
19 O 0.114 0.114 0.590
20 O 0.116 0.116 0.341
21 O 0.383 0.383 0.041
22 O 0.384 0.384 0.284
23 O 0.386 0.386 0.533
24 O 0.389 0.389 0.787
25 O 0.611 0.611 0.213
26 O 0.614 0.614 0.467
27 O 0.616 0.616 0.716
28 O 0.617 0.617 0.959
29 O 0.884 0.884 0.659
30 O 0.886 0.886 0.410
31 O 0.886 0.886 0.904
32 O 0.887 0.887 0.159

Principal peaks in the range 10° ≤ 2θ ≤ 90°, low angle first:
two_theta	d/Å	I (rel.)
18.35	4.835	100
35.37	2.538	31
37.19	2.418	15
42.67	2.119	59
45.36	1.999	23
56.39	1.632	9
63.54	1.464	14
64.51	1.444	14


Record 6
The following is a theoretical powder diffractogram of KNiF3. It was derived from the GGA+U geometry in the Materials Project, using Cu Kα.

Cell lengths 4.069, 4.069, 4.069 Å; angles 90.00, 90.00, 90.00 degrees
Positions (direct):
1 K 0.000 0.000 0.000
2 Ni 0.500 0.500 0.500
3 F 0.000 0.500 0.500
4 F 0.500 0.000 0.500
5 F 0.500 0.500 0.000

Principal peaks in the range 10° ≤ 2θ ≤ 90°, low angle first:
two_theta	d/Å	I (rel.)
21.84	4.069	32
31.08	2.877	100
44.53	2.035	62
50.13	1.820	13
55.30	1.661	36
64.80	1.439	34
73.61	1.287	15
82.03	1.175	10